Record 1
Diffraction record for Pm2Sm2Hg7. The X-ray powder pattern is theoretical, not measured: it uses a PBE-relaxed structure and λ = 1.5418 Å (Cu Kα).
No peak broadening, texture or thermal motion is included.

Top 6 peaks for 2θ = 10–80°, in order of falling intensity:
hkl 2 2 2, 36.08°, rel. 100; hkl 0 4 0, 33.21°, rel. 59; hkl 2 0 1, 23.65°, rel. 58; hkl 2 2 0, 26.17°, rel. 54; hkl 4 0 0, 41.14°, rel. 48; hkl 1 3 2, 36.54°, rel. 42

Unit cell a=8.7800 b=10.7920 c=7.2971 alpha=90.00 beta=90.00 gamma=90.00
Space group Cmmm (No. 65)
Symmetry-distinct sites (fractional):
Pm 0.0000 0.2047 0.0000 [4 per cell]
Sm 0.1964 0.5000 0.5000 [4 per cell]
Hg 0.0000 0.0000 0.2902 [4 per cell]
Hg 0.0000 0.5000 0.0000 [2 per cell]
Hg 0.2500 0.2500 0.2914 [8 per cell]

Record 2
Diffraction record for Pm2SmHg3. The X-ray powder pattern is theoretical, not measured: it uses a PBE-relaxed structure and λ = 1.5418 Å (Cu Kα).
No peak broadening, texture or thermal motion is included.

Top 6 peaks for 2θ = 10–80°, in order of falling intensity:
hkl 1 1 0, 33.27°, rel. 100; hkl 2 1 3, 59.45°, rel. 38; hkl 2 0 0, 47.77°, rel. 18; hkl 3 1 0, 79.61°, rel. 17; hkl 2 2 0, 69.86°, rel. 12; hkl 1 0 0, 23.36°, rel. 3

Unit cell a=3.8086 b=3.8086 c=11.4222 alpha=90.00 beta=90.00 gamma=90.00
Space group P4/mmm (No. 123)
Symmetry-distinct sites (fractional):
Pm 0.0000 0.0000 0.1672 [2 per cell]
Sm 0.0000 0.0000 0.5000 [1 per cell]
Hg 0.5000 0.5000 0.0000 [1 per cell]
Hg 0.5000 0.5000 0.3354 [2 per cell]